[1]
Theoretical X-ray powder pattern
Compound: Li6Ga2Pt
Radiation: Cu Kα (λ = 1.5418 Å)
Structure: a GGA-PBE-relaxed structure

```
data_Li6Ga2Pt
_cell_length_a 7.6714
_cell_length_b 7.6714
_cell_length_c 7.7269
_cell_angle_alpha 90.00
_cell_angle_beta 90.00
_cell_angle_gamma 120.00
_symmetry_space_group_name_H-M 'R -3 m'
_symmetry_Int_Tables_number 166
_symmetry_space_group_name_Hall '-R 3 2"'
loop_
_atom_site_label
_atom_site_type_symbol
_atom_site_fract_x
_atom_site_fract_y
_atom_site_fract_z
Li1 Li 0.0000 0.3372 0.0000
Ga1 Ga 0.0000 0.0000 0.1703
Pt1 Pt 0.0000 0.0000 0.5000
```

Largest 8 diffraction maxima, in order of falling intensity, 15 to 90 degrees two-theta:
two_theta, d (Å), Rel. int.
23.2, 3.836, 100
42.3, 2.138, 50
40.7, 2.215, 30
17.6, 5.038, 26
75.2, 1.263, 18
54.7, 1.679, 18
60.2, 1.538, 18
47.4, 1.918, 15

=====

[2]
Theoretical X-ray powder pattern
Compound: Pm4Ho2Sc3
Radiation: Cu Kα (λ = 1.5418 Å)
Structure: a GGA-PBE-relaxed structure

```
data_Pm4Ho2Sc3
_cell_length_a 10.942
_cell_length_b 4.985
_cell_length_c 10.438
_cell_angle_alpha 90.00
_cell_angle_beta 107.88
_cell_angle_gamma 90.00
_symmetry_space_group_name_H-M 'C 1 2/m 1'
_symmetry_Int_Tables_number 12
_symmetry_space_group_name_Hall '-C 2y'
loop_
_atom_site_label
_atom_site_type_symbol
_atom_site_fract_x
_atom_site_fract_y
_atom_site_fract_z
Pm1 Pm 0.005 0.000 0.336
Pm2 Pm 0.166 0.500 0.887
Ho1 Ho 0.170 0.500 0.228
Sc1 Sc 0.000 0.000 0.000
Sc2 Sc 0.164 0.500 0.552
```

Largest 8 diffraction maxima, in order of falling intensity, 15 to 90 degrees two-theta:
two_theta, d (Å), Rel. int.
31.4, 2.851, 100
36.0, 2.492, 17
36.4, 2.471, 17
36.8, 2.443, 16
61.9, 1.499, 14
62.9, 1.478, 13
52.1, 1.755, 12
52.4, 1.745, 12

=====

[3]
Theoretical X-ray powder pattern
Compound: Pr3Si2Pd3
Radiation: Cu Kα (λ = 1.5418 Å)
Structure: a GGA-PBE-relaxed structure

```
data_Pr3Si2Pd3
_cell_length_a 7.844
_cell_length_b 15.356
_cell_length_c 5.841
_cell_angle_alpha 90.00
_cell_angle_beta 90.00
_cell_angle_gamma 90.00
_symmetry_space_group_name_H-M 'P n m a'
_symmetry_Int_Tables_number 62
_symmetry_space_group_name_Hall '-P 2ac 2n'
loop_
_atom_site_label
_atom_site_type_symbol
_atom_site_fract_x
_atom_site_fract_y
_atom_site_fract_z
Pr1 Pr 0.028 0.109 0.137
Pr2 Pr 0.160 0.250 0.632
Si1 Si 0.127 0.600 0.357
Pd1 Pd 0.164 0.035 0.602
Pd2 Pd 0.188 0.750 0.601
```

Largest 8 diffraction maxima, in order of falling intensity, 15 to 90 degrees two-theta:
two_theta, d (Å), Rel. int.
32.6, 2.745, 100
30.1, 2.969, 70
37.7, 2.386, 66
37.2, 2.414, 54
32.7, 2.737, 54
36.2, 2.483, 51
33.2, 2.695, 43
40.5, 2.229, 37